The following is a calculated powder XRD pattern of V6Cu11O26. It was derived from a structure optimized by DFT (GGA+U), using Cu Kα X-rays.
Lines closer than 0.1° are merged.

Structure:
a b c (Å): 8.1941 8.3266 8.3309
angles (deg): 106.30 91.73 107.16
Space group P-1 (No. 2)
One atom of each set of equivalent atoms:
V1 0.0664 0.2557 0.4075 [2 per cell]
V2 0.2352 0.5627 0.9141 [2 per cell]
V3 0.4180 0.0618 0.3101 [2 per cell]
Cu1 0.0009 0.1615 0.7941 [2 per cell]
Cu2 0.2171 0.6437 0.3363 [2 per cell]
Cu3 0.2258 0.9883 0.9187 [2 per cell]
Cu4 0.3494 0.3529 0.1316 [2 per cell]
Cu5 0.3705 0.2446 0.7124 [2 per cell]
Cu6 0.5000 0.5000 0.5000 [1 per cell]
O1 0.0012 0.0723 0.2147 [2 per cell]
O2 0.0327 0.4050 0.8357 [2 per cell]
O3 0.1072 0.6781 0.5355 [2 per cell]
O4 0.1285 0.1779 0.5550 [2 per cell]
O5 0.2163 0.7624 0.9235 [2 per cell]
O6 0.2322 0.8881 0.3131 [2 per cell]
O7 0.2332 0.2199 0.9019 [2 per cell]
O8 0.2579 0.4255 0.3744 [2 per cell]
O9 0.3148 0.5723 0.1240 [2 per cell]
O10 0.3818 0.1297 0.1330 [2 per cell]
O11 0.3876 0.5059 0.7806 [2 per cell]
O12 0.4171 0.0267 0.7148 [2 per cell]
O13 0.4744 0.2520 0.4969 [2 per cell]

The 8 most intense peaks (10 to 90 degrees two-theta), in order of falling intensity:
d [Å]	2θ/deg	Rel. int.
2.771	32.3	100
2.326	38.7	62
3.667	24.3	55
6.563	13.5	53
2.747	32.6	51
2.565	35.0	51
3.082	29.0	48
2.870	31.2	45